This entry pairs a crystal structure of La2NdPd4 with its theoretical powder diffraction line list. Radiation: Cu Kα. Structure: a DFT-relaxed cell (GGA-PBE, Alexandria).
Peak positions follow from Bragg's law for the DFT cell and can differ from measured ones.

Crystal structure
```
La2NdPd4
1.0
-2.6110 2.6110 7.5530
2.6110 -2.6110 7.5530
2.6110 2.6110 -7.5530
La Nd Pd
2 1 4
direct
0.1383 0.1383 0.0000
0.8617 0.8617 0.0000
0.5000 0.5000 0.0000
0.0000 0.5000 0.5000
0.3108 0.3108 0.0000
0.5000 0.0000 0.5000
0.6892 0.6892 0.0000
```

Top 10 peaks for 15° ≤ 2θ ≤ 90°, in order of rising 2θ:
2θ = 24.1°, I = 39; 2θ = 24.6°, I = 14; 2θ = 26.9°, I = 26; 2θ = 34.0°, I = 19; 2θ = 34.3°, I = 100; 2θ = 35.7°, I = 16; 2θ = 49.3°, I = 48; 2θ = 50.3°, I = 24; 2θ = 62.4°, I = 12; 2θ = 82.6°, I = 16